The following is a theoretical XRD peak list of Sm12ErAl4O3. It was derived from a structure optimized by DFT (PBE), using λ = 1.5418 Å (Cu Kα).
Kinematic intensities with the Lorentz-polarization factor, no thermal factor.

Crystal structure
```
Sm12ErAl4O3
1.0
-5.044 5.044 5.044
5.044 -5.044 5.044
5.044 5.044 -5.044
Sm Er Al O
12 1 4 3
Direct
0.000 0.274 0.274
0.000 0.726 0.726
0.250 0.500 0.750
0.250 0.750 0.500
0.274 0.000 0.274
0.274 0.274 0.000
0.500 0.250 0.750
0.500 0.750 0.250
0.726 0.000 0.726
0.726 0.726 0.000
0.750 0.250 0.500
0.750 0.500 0.250
0.000 0.000 0.000
0.000 0.000 0.500
0.000 0.500 0.000
0.500 0.000 0.000
0.500 0.500 0.500
0.000 0.500 0.500
0.500 0.000 0.500
0.500 0.500 0.000
```

Peak list (8 most intense, 2θ = 10–90°, in order of rising 2θ)
17.6 deg, I = 55.4; 30.7 deg, I = 100.0; 35.6 deg, I = 79.5; 40.0 deg, I = 24.0; 51.2 deg, I = 53.2; 60.9 deg, I = 38.0; 63.9 deg, I = 17.1; 86.2 deg, I = 20.8